No. 1
Calculated powder XRD pattern of Sc2ZnCuPt2 for copper Kα, from a cell relaxed with GGA-PBE.

Structural model:
```
data_Sc2ZnCuPt2
_chemical_formula_sum 'Sc8 Zn4 Cu4 Pt8'
_space_group_name_H-M_alt 'I b a m'
_space_group_IT_number 72
_space_group_name_Hall '-I 2 2c'
_cell_length_a 5.4296
_cell_length_b 14.1188
_cell_length_c 5.4489
_cell_angle_alpha 90.00
_cell_angle_beta 90.00
_cell_angle_gamma 90.00
loop_
_atom_site_label
_atom_site_type_symbol
_atom_site_fract_x
_atom_site_fract_y
_atom_site_fract_z
Sc1 Sc 0.2412 0.1754 0.0000
Zn1 Zn 0.0000 0.5000 0.2500
Cu1 Cu 0.0000 0.0000 0.2500
Pt1 Pt 0.2443 0.3691 0.0000
```

Peak list (8 most intense, 10° ≤ 2θ ≤ 90°, by angle)
- (0 4 0), 25.23 deg, I = 21
- (1 2 1), 26.39 deg, I = 100
- (0 0 2), 32.87 deg, I = 17
- (2 0 0), 32.99 deg, I = 16
- (0 4 2), 41.94 deg, I = 93
- (1 6 1), 45.17 deg, I = 41
- (2 0 2), 47.27 deg, I = 41
- (1 2 3), 54.86 deg, I = 14

=====

No. 2
Calculated powder XRD pattern of BaSrLa2 for copper Kα, from a cell relaxed with GGA-PBE.

Structural model:
```
data_BaSrLa2
_chemical_formula_sum 'Ba2 Sr2 La4'
_space_group_name_H-M_alt 'C 1 m 1'
_space_group_IT_number 8
_space_group_name_Hall 'C -2y'
_cell_length_a 13.1476
_cell_length_b 3.9156
_cell_length_c 7.1371
_cell_angle_alpha 90.00
_cell_angle_beta 100.18
_cell_angle_gamma 90.00
loop_
_atom_site_label
_atom_site_type_symbol
_atom_site_fract_x
_atom_site_fract_y
_atom_site_fract_z
Ba1 Ba 0.0000 0.0000 0.0000
Sr1 Sr 0.2622 0.5000 0.2622
La1 La 0.0202 0.5000 0.5303
La2 La 0.2435 0.0000 0.7312
```

Peak list (8 most intense, 10° ≤ 2θ ≤ 90°, by angle)
- (2 0 -2), 26.65 deg, I = 38
- (1 1 1), 27.55 deg, I = 100
- (2 0 2), 31.05 deg, I = 22
- (3 1 -1), 31.96 deg, I = 47
- (1 1 -3), 44.56 deg, I = 17
- (5 1 1), 45.75 deg, I = 14
- (2 2 -2), 54.32 deg, I = 19
- (4 0 -4), 54.84 deg, I = 14